This entry pairs a crystal structure of TiH12N3F7 with its computed powder diffraction line list. Radiation: a wavelength of 1.5418 Å. Structure: a cell relaxed with GGA-PBE.
Neutral-atom scattering factors, no anomalous dispersion.

Crystal structure
```
TiH12N3F7
1.0
7.1856 0.0000 0.0000
-2.1602 6.9060 0.0000
-0.7511 -3.8990 6.3200
Ti H N F
1 12 3 7
direct
0.0000 0.0000 0.0000
0.0868 0.5246 0.7306
0.2239 0.7654 0.1016
0.2940 0.4199 0.2189
0.4419 0.9861 0.9375
0.4863 0.5167 0.6701
0.5262 0.0124 0.3808
0.5317 0.9572 0.9559
0.5437 0.5839 0.6270
0.6241 0.2822 0.1176
0.6252 0.2875 0.4446
0.7554 0.1467 0.7154
0.7799 0.1500 0.4201
0.2056 0.2493 0.1345
0.6525 0.1688 0.4712
0.6998 0.2565 0.6958
0.0780 0.3804 0.6179
0.0968 0.7545 0.9243
0.3095 0.7779 0.2213
0.5021 0.1896 0.7285
0.7168 0.4054 0.2493
0.8302 0.9849 0.1691
0.8457 0.9787 0.7692
```

Peak list (12 most intense, 15 to 90 degrees two-theta, by angle)
h k l	two_theta	I (rel.)
0 1 0	15.1	99
1 0 -1	16.5	82
1 -1 1	18.2	49
1 1 -1	20.9	71
-1 1 1	23.8	20
1 1 0	24.0	76
1 -2 1	25.3	100
0 1 1	25.5	39
1 -1 2	28.6	22
2 1 -2	34.8	20
1 2 0	38.1	26
1 -3 0	42.6	22